LaZn: computed powder X-ray diffraction pattern (Cu Kα (λ = 1.5418 Å)), based on DFT lattice parameters and positions (GGA-PBE).

Crystal structure
```
data_LaZn
_chemical_formula_sum 'La8 Zn8'
_space_group_name_H-M_alt 'I 4/m m m'
_space_group_IT_number 139
_space_group_name_Hall '-I 4 2'
_cell_length_a 8.9135
_cell_length_b 8.9135
_cell_length_c 5.4247
_cell_angle_alpha 90.00
_cell_angle_beta 90.00
_cell_angle_gamma 90.00
loop_
_atom_site_label
_atom_site_fract_x
_atom_site_fract_y
_atom_site_fract_z
La1 0.0000 0.2890 0.0000
Zn1 0.1455 0.1455 0.5000
```

Peak list (6 most intense, 2θ = 10–90°, in order of rising 2θ)
2θ (°)	I_rel
27.8	47
28.3	35
33.0	37
34.4	100
44.0	21
58.3	22



La2Zn: computed powder X-ray diffraction pattern (Cu Kα (λ = 1.5418 Å)), based on DFT lattice parameters and positions (GGA-PBE).

Crystal structure
```
data_La2Zn
_chemical_formula_sum 'La2 Zn1'
_space_group_name_H-M_alt 'P -3 m 1'
_space_group_IT_number 164
_space_group_name_Hall '-P 3 2"'
_cell_length_a 5.0344
_cell_length_b 5.0344
_cell_length_c 3.8499
_cell_angle_alpha 90.00
_cell_angle_beta 90.00
_cell_angle_gamma 120.00
loop_
_atom_site_label
_atom_site_fract_x
_atom_site_fract_y
_atom_site_fract_z
La1 0.3333 0.6667 0.1781
Zn1 0.0000 0.0000 0.5000
```

Peak list (6 most intense, 2θ = 10–90°, in order of rising 2θ)
2θ (°)	I_rel
31.0	100
35.7	65
48.0	29
51.9	22
61.2	28
76.0	14